Record 1
For CaNbO2, a crystal structure in the Materials Project, relaxed with PBE gives the simulated X-ray diffraction stick pattern in this record (Cu Kα X-rays).
No peak broadening, texture or thermal motion is included.

Structure:
```
CaNbO2
1.0
-3.0925 3.0925 5.8165
3.0925 -3.0925 5.8165
3.0925 3.0925 -5.8165
Ca Nb O
4 4 8
Cartesian
0.0000 0.0000 0.0000
1.5463 1.5463 -2.9082
1.5463 -1.5463 2.9082
0.0000 3.0925 0.0000
3.0925 0.0000 0.0000
-1.5463 1.5463 2.9082
0.0000 0.0000 5.8165
1.5463 1.5463 2.9082
1.7093 1.5463 -0.5546
4.4758 1.5463 -0.5546
0.0000 0.1630 2.3537
3.0925 0.1630 3.4628
0.0000 2.9296 2.3537
3.0925 2.9295 3.4628
-1.3833 1.5463 6.3711
1.3833 1.5463 6.3711
```

Principal peaks in the range 2θ from 10° to 90°, sorted by position:
two_theta, Rel. int.
16.23, 26
27.14, 24
30.74, 55
32.80, 100
41.29, 60
52.35, 45
55.98, 34
68.76, 18
69.91, 23
86.42, 19

***

Record 2
For Cr2FeTe4, a crystal structure in the Materials Project, relaxed with PBE gives the simulated X-ray diffraction stick pattern in this record (Cu Kα X-rays).
No peak broadening, texture or thermal motion is included.

Structure:
```
Cr2FeTe4
1.0
6.7505 -2.0354 0.0000
6.7505 2.0354 0.0000
-3.5612 0.0000 5.9612
Cr Fe Te
2 1 4
Cartesian
2.5127 0.0000 1.4024
7.4271 0.0000 4.5588
4.9699 0.0000 2.9806
0.0593 0.0000 2.7537
4.9696 0.0000 0.2549
4.9702 0.0000 5.7063
9.8806 0.0000 3.2075
```

Principal peaks in the range 2θ from 10° to 90°, sorted by position:
two_theta, Rel. int.
29.74, 100
30.01, 52
30.86, 13
40.36, 42
40.55, 18
44.51, 19
45.06, 37
54.19, 18
54.62, 19
55.61, 11

***

Record 3
For Mn2N, a crystal structure in the Materials Project, relaxed with PBE gives the simulated X-ray diffraction stick pattern in this record (Cu Kα X-rays).
No peak broadening, texture or thermal motion is included.

Structure:
```
Mn2N
1.0
4.3973 0.0000 0.0000
0.0000 5.5478 0.0000
0.0000 0.0000 4.8269
Mn N
8 4
Cartesian
1.0990 0.6712 0.4002
1.0997 2.1027 2.8136
1.0997 3.4452 0.4002
1.0990 4.8766 2.8136
3.2984 0.6712 2.0133
3.2976 2.1027 4.4268
3.2976 3.4452 2.0133
3.2984 4.8766 4.4268
0.0000 0.7424 3.6202
0.0000 4.8055 1.2067
2.1987 2.0316 1.2067
2.1987 3.5163 3.6202
```

Principal peaks in the range 2θ from 10° to 90°, sorted by position:
two_theta, Rel. int.
37.39, 14
41.05, 30
42.74, 50
42.86, 100
56.69, 29
67.27, 18
67.54, 9
76.01, 23
81.92, 14
83.31, 12

***

Record 4
For NdErIn2, a crystal structure in the Materials Project, relaxed with PBE gives the simulated X-ray diffraction stick pattern in this record (Cu Kα X-rays).
No peak broadening, texture or thermal motion is included.

Structure:
```
NdErIn2
1.0
0.0000 3.8187 3.8187
3.8187 0.0000 3.8187
3.8187 3.8187 0.0000
Nd Er In
1 1 2
Cartesian
0.0000 0.0000 0.0000
3.8187 3.8187 3.8187
1.9093 1.9093 1.9093
5.7280 5.7280 5.7280
```

Principal peaks in the range 2θ from 10° to 90°, sorted by position:
two_theta, Rel. int.
23.29, 2
33.18, 100
40.93, 1
47.63, 18
53.67, 1
59.27, 37
69.64, 11
74.55, 1
79.35, 16
88.75, 4

***

Record 5
For NaFeCl4, a crystal structure in the Materials Project, relaxed with PBE gives the simulated X-ray diffraction stick pattern in this record (Cu Kα X-rays).
No peak broadening, texture or thermal motion is included.

Structure:
```
NaFeCl4
1.0
6.3354 0.0000 0.0000
0.0000 10.0562 0.0000
0.0000 0.0000 10.5588
Na Fe Cl
4 4 16
Cartesian
0.3882 0.3560 1.4052
2.7795 9.7001 6.6846
3.5559 4.6720 9.1536
5.9472 5.3841 3.8742
0.2643 7.4382 8.3262
2.9034 2.6179 3.0468
3.4320 7.6460 2.2326
6.0711 2.4102 7.5120
0.9331 5.6766 9.4737
1.0991 9.2690 9.2674
1.1137 7.3971 6.2814
1.2146 7.6334 2.2826
1.9531 2.4228 7.5620
2.0540 2.6591 1.0020
2.0686 0.7872 3.9880
2.2346 4.3796 4.1943
4.1008 9.4077 1.0850
4.2668 5.8152 1.2914
4.2814 7.6872 4.2774
4.3823 7.4509 8.2762
5.1208 2.6053 2.9968
5.2217 2.3690 9.5568
5.2363 4.2409 6.5708
5.4023 0.6485 6.3644
```

Principal peaks in the range 2θ from 10° to 90°, sorted by position:
two_theta, Rel. int.
16.32, 100
16.79, 51
17.64, 47
24.12, 54
24.45, 61
26.84, 34
28.27, 60
29.57, 70
30.38, 60
51.12, 34

***

Record 6
For CeSe2, a crystal structure in the Materials Project, relaxed with PBE gives the simulated X-ray diffraction stick pattern in this record (Cu Kα X-rays).
No peak broadening, texture or thermal motion is included.

Structure:
```
CeSe2
1.0
7.2684 0.0000 0.0000
0.0000 4.5654 0.0000
-2.5592 0.0000 13.7386
Ce Se
4 8
Cartesian
-0.1111 0.0000 2.7256
0.7393 2.2827 9.0998
3.9698 2.2827 4.6388
4.8202 0.0000 11.0130
0.0000 0.0000 0.0000
-0.9765 0.0000 8.5281
-0.9337 2.2827 11.4763
2.6361 0.0000 3.3205
2.3546 2.2827 6.8693
2.0730 0.0000 10.4181
5.6429 2.2827 2.2623
5.6857 0.0000 5.2105
```

Principal peaks in the range 2θ from 10° to 90°, sorted by position:
two_theta, Rel. int.
12.89, 100
14.99, 100
23.12, 67
24.64, 79
31.81, 63
32.70, 85
36.20, 88
38.26, 51
39.48, 55
44.23, 60

***

Record 7
For ZnIn2S4, a crystal structure in the Materials Project, relaxed with PBE gives the simulated X-ray diffraction stick pattern in this record (Cu Kα X-rays).
No peak broadening, texture or thermal motion is included.

Structure:
```
ZnIn2S4
1.0
1.9630 1.1334 12.6297
-1.9630 1.1334 12.6297
0.0000 -2.2667 12.6297
Zn In S
1 2 4
Cartesian
0.0000 0.0000 0.0000
0.0000 0.0000 20.5793
0.0000 0.0000 29.2008
0.0000 0.0000 2.6877
0.0000 0.0000 18.1191
0.0000 0.0000 24.7499
0.0000 0.0000 34.2888
```

Principal peaks in the range 2θ from 10° to 90°, sorted by position:
two_theta, Rel. int.
21.10, 100
26.32, 60
26.64, 29
27.88, 94
28.78, 27
32.41, 58
40.78, 55
46.25, 75
48.86, 42
51.36, 53

***

Record 8
For Sr3CaI8, a crystal structure in the Materials Project, relaxed with PBE gives the simulated X-ray diffraction stick pattern in this record (Cu Kα X-rays).
No peak broadening, texture or thermal motion is included.

Structure:
```
Sr3CaI8
1.0
5.6457 -5.6641 0.0000
5.6457 5.6641 0.0000
-5.6138 0.0000 7.9973
Sr Ca I
3 1 8
Cartesian
0.0000 0.0000 0.0000
2.8241 2.8155 4.0171
2.8241 -2.8155 4.0171
0.0467 0.0000 7.9962
-0.0073 2.7987 6.0213
-2.7515 0.0000 6.0322
5.6288 2.7858 1.9609
2.8622 0.0000 2.0036
-0.0073 -2.7987 6.0213
2.7697 0.0000 6.0596
5.6288 -2.7858 1.9609
8.4486 0.0000 1.9972
```

Principal peaks in the range 2θ from 10° to 90°, sorted by position:
two_theta, Rel. int.
19.22, 15
22.23, 42
31.63, 100
31.70, 20
38.98, 9
45.36, 22
56.31, 34
56.51, 11
75.05, 10
75.21, 9

***

Record 9
For CrN2, a crystal structure in the Materials Project, relaxed with PBE gives the simulated X-ray diffraction stick pattern in this record (Cu Kα X-rays).
No peak broadening, texture or thermal motion is included.

Structure:
```
CrN2
1.0
-2.1951 2.3784 8.3340
2.1951 -2.3784 8.3340
2.1951 2.3784 -8.3340
Cr N
4 8
Cartesian
2.1951 -1.1892 5.1790
2.1951 1.1892 -1.0223
0.0000 1.1892 1.0223
2.1951 1.1892 3.1550
1.0976 0.2732 0.0000
3.3086 0.3595 2.0964
1.4374 0.0000 4.1670
1.1134 2.0190 -2.0964
1.0976 -0.2732 8.3340
1.0817 2.0190 2.0964
0.7577 0.0000 12.5009
1.0817 2.7379 6.2376
```

Principal peaks in the range 2θ from 10° to 90°, sorted by position:
two_theta, Rel. int.
19.41, 100
20.92, 15
25.87, 42
33.76, 12
35.18, 81
46.39, 12
51.59, 10
57.10, 11
58.93, 11
61.35, 10

***

Record 10
For NaNdS2O8, a crystal structure in the Materials Project, relaxed with PBE gives the simulated X-ray diffraction stick pattern in this record (Cu Kα X-rays).
No peak broadening, texture or thermal motion is included.

Structure:
```
NaNdS2O8
1.0
6.4159 0.0000 0.0000
1.3074 6.6055 0.0000
0.1468 0.4013 7.0566
Na Nd S O
2 2 4 16
Cartesian
0.8816 1.5360 1.0937
6.9884 5.4708 5.9630
2.8807 2.0632 4.7651
4.9893 4.9436 2.2915
1.7638 4.7909 2.3921
3.6968 5.5784 5.7930
4.1733 1.4284 1.2636
6.1063 2.2159 4.6645
0.9438 4.2421 1.2800
0.6527 1.7869 3.6113
2.8699 6.7781 6.0808
2.6603 5.8959 1.9675
2.8147 4.4075 5.6077
2.7171 3.7413 2.9016
3.1744 1.6932 0.1944
3.4177 1.0822 2.5249
4.4523 5.9246 4.5317
4.6957 5.3136 6.8622
5.1530 3.2656 4.1550
5.0553 2.5994 1.4489
5.2098 1.1109 5.0891
5.0002 0.2288 0.9758
7.2173 5.2199 3.4454
6.9263 2.7647 5.7766
```

Principal peaks in the range 2θ from 10° to 90°, sorted by position:
two_theta, Rel. int.
12.54, 43
14.07, 75
17.88, 92
18.81, 47
25.24, 45
27.04, 100
28.00, 83
29.38, 62
31.01, 58
31.24, 74

***

Record 11
For Mg6CrCo, a crystal structure in the Materials Project, relaxed with PBE gives the simulated X-ray diffraction stick pattern in this record (Cu Kα X-rays).
No peak broadening, texture or thermal motion is included.

Structure:
```
Mg6CrCo
1.0
4.5894 0.0000 0.0000
0.0000 2.9262 5.4177
0.0000 -2.9262 5.4177
Mg Cr Co
6 1 1
Cartesian
0.0000 0.0000 0.0000
0.0000 -1.3827 2.7826
0.0000 1.3827 2.7826
2.2947 -1.4044 6.3899
2.2947 1.4044 6.3899
2.2947 0.0000 9.1172
2.2947 0.0000 3.9832
0.0000 0.0000 5.0971
```

Principal peaks in the range 2θ from 10° to 90°, sorted by position:
two_theta, Rel. int.
16.36, 30
17.22, 52
34.85, 55
38.59, 85
39.26, 48
40.16, 100
53.49, 30
71.77, 16
74.28, 13
76.92, 19

***

Record 12
For Tm3Fe4Ge4, a crystal structure in the Materials Project, relaxed with PBE gives the simulated X-ray diffraction stick pattern in this record (Cu Kα X-rays).
No peak broadening, texture or thermal motion is included.

Structure:
```
Tm3Fe4Ge4
1.0
-2.0669 3.3832 6.6896
2.0669 -3.3832 6.6896
2.0669 3.3832 -6.6896
Tm Fe Ge
3 4 4
Cartesian
0.0000 0.0000 0.0000
2.0669 0.0000 4.9924
0.0000 3.3832 1.6972
2.0669 1.2292 -2.3582
2.0669 1.2292 2.3582
0.0000 2.1540 4.3314
0.0000 2.1540 9.0479
0.0000 0.0000 2.9711
2.0669 2.0501 0.0000
0.0000 1.3331 6.6897
0.0000 0.0000 10.4082
```

Principal peaks in the range 2θ from 10° to 90°, sorted by position:
two_theta, Rel. int.
26.34, 18
34.92, 92
36.10, 31
37.04, 100
43.80, 35
45.04, 28
58.01, 16
64.64, 18
76.02, 14
79.91, 15